This entry pairs a crystal structure of La6CoOs2 with its theoretical X-ray diffraction stick pattern. Radiation: Cu Kα X-rays. Structure: a DFT-relaxed cell (GGA-PBE, Alexandria).
Neutral-atom scattering factors, no anomalous dispersion.

Most intense lines, 2θ from 10° to 90°, low angle first:
2θ/deg	I_rel
14.81	47
26.10	23
31.27	100
31.60	50
42.16	23
42.54	44
47.47	31
53.63	22

Atomic structure:
```
La6CoOs2
1.0
8.526 -2.143 0.000
8.526 2.143 0.000
-0.680 0.000 7.725
La Co Os
6 1 2
Direct
0.003 0.003 0.239
0.333 0.333 0.432
0.336 0.336 0.922
0.664 0.664 0.078
0.667 0.667 0.568
0.997 0.997 0.761
0.500 0.500 0.000
0.167 0.167 0.319
0.833 0.833 0.681
```